Starting from the GGA+U geometry in Alexandria, the powder diffractogram of Cs2Tm2MgW4O16 was computed for a wavelength of 1.5418 Å.

a b c (Å): 11.4660 10.8048 7.7029
angles (deg): 90.00 130.94 90.00
Space group C2 (No. 5)
Unique sites:
Cs 0.0000 0.0000 0.0000 (multiplicity 2)
Cs 0.0000 0.3812 0.5000 (multiplicity 2)
Tm 0.0000 0.4316 0.0000 (multiplicity 2)
Tm 0.0000 0.9832 0.5000 (multiplicity 2)
Mg 0.0000 0.6574 0.5000 (multiplicity 2)
W 0.2040 0.7044 0.9666 (multiplicity 4)
W 0.2092 0.7140 0.4574 (multiplicity 4)
O 0.0023 0.5941 0.2168 (multiplicity 4)
O 0.0127 0.8083 0.6903 (multiplicity 4)
O 0.1489 0.0950 0.4759 (multiplicity 4)
O 0.1512 0.3186 0.9656 (multiplicity 4)
O 0.1848 0.0684 0.8572 (multiplicity 4)
O 0.1863 0.7659 0.1787 (multiplicity 4)
O 0.1897 0.3547 0.3623 (multiplicity 4)
O 0.2147 0.6433 0.7177 (multiplicity 4)

The 12 most intense peaks (10 to 90 degrees two-theta), in order of falling intensity:
two_theta  I_rel  (hkl)
26.38  100.0  2 2 0
28.47  84.2  2 2 -2
30.73  37.2  0 0 2
26.82  37.1  1 3 0
31.42  31.2  4 0 -2
46.34  28.6  1 3 2
55.31  20.3  6 2 -4
45.84  15.0  0 4 2
47.08  15.0  5 3 -2
47.21  14.6  4 0 -4
54.45  14.6  2 2 -4
33.17  14.4  0 4 0